No. 1
This entry pairs a crystal structure of Sr3Al2 with its simulated PXRD pattern. Radiation: copper Kα. Structure: a DFT-relaxed cell (GGA-PBE, Alexandria).
No peak broadening, texture or thermal motion is included.

The 10 most intense peaks (2θ = 15–90°), by angle:
- hkl 2 2 1, 20.46°, I = 23
- hkl 2 2 2, 23.67°, I = 38
- hkl 3 1 2, 25.59°, I = 73
- hkl 4 0 1, 28.25°, I = 100
- hkl 4 1 1, 29.09°, I = 61
- hkl 4 0 2, 30.70°, I = 23
- hkl 4 2 1, 31.48°, I = 38
- hkl 4 1 3, 35.14°, I = 47
- hkl 5 4 0, 44.55°, I = 32
- hkl 5 2 4, 46.79°, I = 28

Crystal structure
Lattice parameters (Å, degrees): 13.0237 13.0237 13.0237 90.00 90.00 90.00
Space group P2_13 (No. 198)
Symmetry-distinct sites (fractional):
Sr 0.0301 0.2194 0.9404
Sr 0.0327 0.1951 0.4356
Sr 0.0632 0.4368 0.5632
Sr 0.1683 0.8317 0.3317
Sr 0.1772 0.6772 0.8228
Al 0.0915 0.2604 0.1936
Al 0.1019 0.2250 0.6893


No. 2
This entry pairs a crystal structure of SrAl2 with its simulated PXRD pattern. Radiation: copper Kα. Structure: a DFT-relaxed cell (GGA-PBE, Alexandria).
No peak broadening, texture or thermal motion is included.

The 10 most intense peaks (2θ = 15–90°), by angle:
- hkl 1 0 1, 22.84°, I = 72
- hkl 1 1 0, 28.17°, I = 62
- hkl 1 0 2, 30.21°, I = 100
- hkl 1 1 1, 30.42°, I = 47
- hkl 1 1 2, 36.40°, I = 82
- hkl 2 0 0, 40.27°, I = 61
- hkl 1 0 4, 50.62°, I = 36
- hkl 2 1 2, 51.16°, I = 45
- hkl 2 1 4, 66.58°, I = 31
- hkl 3 1 2, 70.67°, I = 23

Crystal structure
Lattice parameters (Å, degrees): 4.4794 4.4794 7.8793 90.00 90.00 90.00
Space group P4/nmm (No. 129, origin choice 2)
Symmetry-distinct sites (fractional):
Sr 0.2500 0.2500 0.1743
Al 0.2500 0.2500 0.7048
Al 0.2500 0.7500 0.5000


No. 3
This entry pairs a crystal structure of SrAl11 with its simulated PXRD pattern. Radiation: copper Kα. Structure: a DFT-relaxed cell (GGA-PBE, Alexandria).
No peak broadening, texture or thermal motion is included.

The 10 most intense peaks (2θ = 15–90°), by angle:
- hkl 2 1 1, 21.56°, I = 20
- hkl 1 1 2, 27.01°, I = 24
- hkl 3 2 1, 31.33°, I = 45
- hkl 3 1 2, 35.41°, I = 100
- hkl 4 2 0, 35.87°, I = 70
- hkl 1 0 3, 38.02°, I = 32
- hkl 5 0 1, 42.23°, I = 22
- hkl 4 2 2, 43.92°, I = 23
- hkl 5 3 2, 53.99°, I = 24
- hkl 5 5 2, 64.16°, I = 30

Crystal structure
Lattice parameters (Å, degrees): 11.1967 11.1967 7.2634 90.00 90.00 90.00
Space group I4_1/amd (No. 141, origin choice 2)
Symmetry-distinct sites (fractional):
Sr 0.0000 0.2500 0.3750
Al 0.0000 0.0000 0.0000
Al 0.0000 0.2500 0.8750
Al 0.1231 0.0436 0.6810


No. 4
This entry pairs a crystal structure of Sr3Al4 with its simulated PXRD pattern. Radiation: copper Kα. Structure: a DFT-relaxed cell (GGA-PBE, Alexandria).
No peak broadening, texture or thermal motion is included.

The 10 most intense peaks (2θ = 15–90°), by angle:
- hkl 1 0 3, 23.70°, I = 46
- hkl 0 0 6, 26.61°, I = 19
- hkl 1 1 2, 28.51°, I = 100
- hkl 0 1 5, 28.97°, I = 67
- hkl 1 1 4, 32.49°, I = 25
- hkl 1 0 7, 37.07°, I = 22
- hkl 0 2 0, 37.48°, I = 26
- hkl 2 0 0, 39.78°, I = 22
- hkl 2 1 5, 49.96°, I = 29
- hkl 0 1 11, 53.70°, I = 28

Crystal structure
Lattice parameters (Å, degrees): 4.5315 4.7997 20.0999 90.00 90.00 90.00
Space group Immm (No. 71)
Symmetry-distinct sites (fractional):
Sr 0.0000 0.0000 0.0000
Sr 0.0000 0.5000 0.3152
Al 0.0000 0.0000 0.4349
Al 0.0000 0.5000 0.1327


No. 5
This entry pairs a crystal structure of Sr3Al11 with its simulated PXRD pattern. Radiation: copper Kα. Structure: a DFT-relaxed cell (GGA-PBE, Alexandria).
No peak broadening, texture or thermal motion is included.

The 10 most intense peaks (2θ = 15–90°), by angle:
- hkl 1 1 0, 21.58°, I = 22
- hkl 0 1 3, 21.89°, I = 21
- hkl 1 0 3, 28.35°, I = 26
- hkl 1 3 0, 32.75°, I = 37
- hkl 0 3 3, 32.96°, I = 29
- hkl 1 2 3, 33.32°, I = 100
- hkl 0 4 0, 34.73°, I = 23
- hkl 2 0 0, 40.17°, I = 29
- hkl 0 0 6, 40.87°, I = 23
- hkl 1 6 3, 61.32°, I = 16

Crystal structure
Lattice parameters (Å, degrees): 4.4893 10.3424 13.2445 90.00 90.00 90.00
Space group Immm (No. 71)
Symmetry-distinct sites (fractional):
Sr 0.0000 0.0000 0.0000
Sr 0.0000 0.0000 0.3116
Al 0.0000 0.2107 0.5000
Al 0.0000 0.2759 0.1393
Al 0.0000 0.3674 0.3376
Al 0.0000 0.5000 0.0000


No. 6
This entry pairs a crystal structure of Sr5Al9 with its simulated PXRD pattern. Radiation: copper Kα. Structure: a DFT-relaxed cell (GGA-PBE, Alexandria).
No peak broadening, texture or thermal motion is included.

The 10 most intense peaks (2θ = 15–90°), by angle:
- hkl 1 0 7, 24.73°, I = 29
- hkl 1 1 0, 30.37°, I = 100
- hkl 1 0 10, 30.63°, I = 47
- hkl 0 1 11, 32.78°, I = 78
- hkl 1 1 6, 34.00°, I = 39
- hkl 2 0 2, 35.58°, I = 31
- hkl 0 2 4, 36.67°, I = 26
- hkl 1 1 9, 38.11°, I = 42
- hkl 1 2 11, 55.50°, I = 33
- hkl 2 2 0, 63.18°, I = 25

Crystal structure
Lattice parameters (Å, degrees): 5.8869 5.8869 35.5921 90.00 90.00 120.00
Space group R-3m (No. 166, hexagonal axes)
Symmetry-distinct sites (fractional):
Sr 0.0000 0.0000 0.0000
Sr 0.0000 0.0000 0.1837
Sr 0.0000 0.0000 0.2831
Al 0.0000 0.0000 0.3760
Al 0.0000 0.0000 0.5000
Al 0.0067 0.5033 0.7675


> Which formula does entry 4 have?

Sr3Al4